For Sr2PuTcO6, DFT lattice parameters and positions (PBE) gives the calculated X-ray powder pattern in this record (a wavelength of 1.5418 Å).

Principal peaks in the range 5° ≤ 2θ ≤ 70°, in order of rising 2θ:
d 4.146, I = 20, (1 0 0); d 3.724, I = 23, (1 0 1); d 2.963, I = 100, (1 0 2); d 2.931, I = 52, (1 1 0); d 2.073, I = 31, (2 0 0); d 1.698, I = 40, (2 1 2)

Cell and atoms:
a b c (Å): 4.146 4.146 8.473
angles (deg): 90.00 90.00 90.00
Space group P4/mmm (No. 123)
One atom of each set of equivalent atoms:
Sr1 0.000 0.000 0.215 [2 per cell]
Pu1 0.500 0.500 0.500 [1 per cell]
Tc1 0.500 0.500 0.000 [1 per cell]
O1 0.000 0.500 0.000 [2 per cell]
O2 0.000 0.500 0.500 [2 per cell]
O3 0.500 0.500 0.241 [2 per cell]